This entry pairs a crystal structure of SmEuRu with its calculated X-ray powder pattern. Radiation: Cu Kα, 1.54184 Å. Structure: a DFT-relaxed cell (PBE, Alexandria).
No peak broadening, texture or thermal motion is included.

Crystal structure
Unit cell a=3.508 b=3.508 c=13.236 alpha=90.00 beta=90.00 gamma=90.00
Space group I4mm (No. 107)
One atom of each set of equivalent atoms:
1 Sm 0.000 0.000 0.000
2 Eu 0.000 0.000 0.745
3 Ru 0.000 0.000 0.384

Main lines, in order of falling intensity (5° ≤ 2θ ≤ 70°):
d (Å)  Position (°2θ)  intensity
2.746  32.6  100
2.480  36.2  59
2.113  42.8  39
1.478  62.9  30
1.754  52.1  21
3.391  26.3  19
6.618  13.4  19
1.350  69.7  18
1.376  68.1  17
3.309  26.9  16

This entry pairs a crystal structure of TbEuZnRu with its calculated X-ray powder pattern. Radiation: Cu Kα, 1.54184 Å. Structure: a DFT-relaxed cell (PBE, Alexandria).
No peak broadening, texture or thermal motion is included.

Crystal structure
Unit cell a=7.056 b=7.056 c=7.056 alpha=90.00 beta=90.00 gamma=90.00
Space group F-43m (No. 216)
One atom of each set of equivalent atoms:
1 Tb 0.000 0.000 0.000
2 Eu 0.000 0.000 0.500
3 Zn 0.250 0.250 0.750
4 Ru 0.250 0.250 0.250

Main lines, in order of falling intensity (5° ≤ 2θ ≤ 70°):
d (Å)  Position (°2θ)  intensity
2.495  36.0  100
1.440  64.7  35
1.764  51.8  17
3.528  25.2  9
1.578  58.5  4
2.037  44.5  3
4.074  21.8  1
2.127  42.5  1

This entry pairs a crystal structure of EuVRu2 with its calculated X-ray powder pattern. Radiation: Cu Kα, 1.54184 Å. Structure: a DFT-relaxed cell (PBE, Alexandria).
No peak broadening, texture or thermal motion is included.

Crystal structure
Unit cell a=3.076 b=3.076 c=7.230 alpha=90.00 beta=90.00 gamma=90.00
Space group P4/mmm (No. 123)
One atom of each set of equivalent atoms:
1 Eu 0.000 0.000 0.000
2 V 0.000 0.000 0.500
3 Ru 0.500 0.500 0.305

Main lines, in order of falling intensity (5° ≤ 2θ ≤ 70°):
d (Å)  Position (°2θ)  intensity
2.343  38.4  100
2.175  41.5  51
2.830  31.6  39
1.615  57.0  19
1.538  60.2  17
2.410  37.3  16
1.351  69.6  8
1.390  67.4  8
1.558  59.3  6
1.808  50.5  5

This entry pairs a crystal structure of EuS2 with its calculated X-ray powder pattern. Radiation: Cu Kα, 1.54184 Å. Structure: a DFT-relaxed cell (PBE, Alexandria).
No peak broadening, texture or thermal motion is included.

Crystal structure
Unit cell a=8.390 b=4.028 c=7.931 alpha=90.00 beta=90.45 gamma=90.00
Space group P2_1/c (No. 14)
One atom of each set of equivalent atoms:
1 Eu 0.206 0.240 0.372
2 S 0.138 0.744 0.125
3 S 0.499 0.669 0.402

Main lines, in order of falling intensity (5° ≤ 2θ ≤ 70°):
d (Å)  Position (°2θ)  intensity
3.631  24.5  100
2.826  31.7  92
3.596  24.8  61
2.350  38.3  60
2.797  32.0  55
2.338  38.5  55
4.195  21.2  49
1.983  45.8  47
2.296  39.2  43
3.574  24.9  38

This entry pairs a crystal structure of Eu2SeS with its calculated X-ray powder pattern. Radiation: Cu Kα, 1.54184 Å. Structure: a DFT-relaxed cell (PBE, Alexandria).
No peak broadening, texture or thermal motion is included.

Crystal structure
Unit cell a=4.2401 b=4.2401 c=20.7994 alpha=90.00 beta=90.00 gamma=120.00
Space group R-3m (No. 166, hexagonal axes)
One atom of each set of equivalent atoms:
1 Eu 0.0000 0.0000 0.2466
2 Se 0.0000 0.0000 0.0000
3 S 0.0000 0.0000 0.5000

Main lines, in order of falling intensity (5° ≤ 2θ ≤ 70°):
d (Å)  Position (°2θ)  intensity
2.999  29.8  100
2.121  42.6  74
3.463  25.7  39
1.732  52.9  26
1.809  50.5  20
1.500  61.9  12
1.376  68.1  8
2.753  32.5  3
3.616  24.6  2
1.562  59.1  2

This entry pairs a crystal structure of Sm3Eu3S8 with its calculated X-ray powder pattern. Radiation: Cu Kα, 1.54184 Å. Structure: a DFT-relaxed cell (PBE, Alexandria).
No peak broadening, texture or thermal motion is included.

Crystal structure
Unit cell a=12.107 b=8.569 c=8.567 alpha=90.00 beta=134.83 gamma=90.00
Space group C2 (No. 5)
One atom of each set of equivalent atoms:
1 Sm 0.000 0.000 0.000
2 Sm 0.125 0.378 0.876
3 Eu 0.000 0.753 0.500
4 Eu 0.249 0.626 0.376
5 S 0.075 0.057 0.759
6 S 0.076 0.702 0.899
7 S 0.172 0.302 0.242
8 S 0.178 0.448 0.609

Main lines, in order of falling intensity (5° ≤ 2θ ≤ 70°):
d (Å)  Position (°2θ)  intensity
3.500  25.4  100
2.712  33.0  68
2.293  39.3  32
1.916  47.5  26
2.289  39.4  23
2.708  33.1  23
1.681  54.6  18
1.391  67.3  14
1.389  67.4  14
1.920  47.4  13

This entry pairs a crystal structure of Sm3Eu3S8 with its calculated X-ray powder pattern. Radiation: Cu Kα, 1.54184 Å. Structure: a DFT-relaxed cell (PBE, Alexandria).
No peak broadening, texture or thermal motion is included.

Crystal structure
Unit cell a=11.763 b=9.028 c=7.318 alpha=90.00 beta=109.89 gamma=90.00
Space group C2 (No. 5)
One atom of each set of equivalent atoms:
1 Sm 0.000 0.000 0.000
2 Sm 0.166 0.477 0.419
3 Eu 0.000 0.149 0.500
4 Eu 0.168 0.683 0.917
5 S 0.086 0.412 0.734
6 S 0.096 0.756 0.249
7 S 0.167 0.167 0.298
8 S 0.169 0.991 0.803

Main lines, in order of falling intensity (5° ≤ 2θ ≤ 70°):
d (Å)  Position (°2θ)  intensity
3.413  26.1  100
2.594  34.6  99
4.450  20.0  99
3.432  26.0  82
2.141  42.2  62
2.928  30.5  57
3.389  26.3  48
2.054  44.1  42
2.638  34.0  41
1.853  49.2  35

This entry pairs a crystal structure of Eu3Sn2S7 with its calculated X-ray powder pattern. Radiation: Cu Kα, 1.54184 Å. Structure: a DFT-relaxed cell (PBE, Alexandria).
No peak broadening, texture or thermal motion is included.

Crystal structure
Unit cell a=11.386 b=12.646 c=4.001 alpha=90.00 beta=90.00 gamma=90.00
Space group Pbam (No. 55)
One atom of each set of equivalent atoms:
1 Eu 0.000 0.000 0.000
2 Eu 0.118 0.347 0.000
3 Sn 0.211 0.608 0.500
4 S 0.000 0.500 0.500
5 S 0.082 0.178 0.500
6 S 0.144 0.712 0.000
7 S 0.202 0.930 0.500

Main lines, in order of falling intensity (5° ≤ 2θ ≤ 70°):
d (Å)  Position (°2θ)  intensity
2.813  31.8  100
3.241  27.5  90
3.953  22.5  58
2.001  45.3  50
3.274  27.2  43
3.635  24.5  43
3.167  28.2  39
1.864  48.9  37
1.955  46.4  36
3.254  27.4  30

This entry pairs a crystal structure of Tb2EuS4 with its calculated X-ray powder pattern. Radiation: Cu Kα, 1.54184 Å. Structure: a DFT-relaxed cell (PBE, Alexandria).
No peak broadening, texture or thermal motion is included.

Crystal structure
Unit cell a=8.474 b=8.474 c=8.434 alpha=90.00 beta=90.00 gamma=90.00
Space group I-42d (No. 122)
One atom of each set of equivalent atoms:
1 Tb 0.125 0.750 0.125
2 Eu 0.000 0.000 0.500
3 S 0.074 0.674 0.440

Main lines, in order of falling intensity (5° ≤ 2θ ≤ 70°):
d (Å)  Position (°2θ)  intensity
3.454  25.8  100
2.679  33.4  58
2.263  39.8  35
2.668  33.6  29
1.894  48.0  26
1.804  50.6  25
1.374  68.3  23
1.661  55.3  20
2.258  39.9  17
1.888  48.2  12

This entry pairs a crystal structure of Eu3Sb with its calculated X-ray powder pattern. Radiation: Cu Kα, 1.54184 Å. Structure: a DFT-relaxed cell (PBE, Alexandria).
No peak broadening, texture or thermal motion is included.

Crystal structure
Unit cell a=4.390 b=11.762 c=5.413 alpha=90.00 beta=90.00 gamma=90.00
Space group Imm2 (No. 44)
One atom of each set of equivalent atoms:
1 Eu 0.000 0.000 0.000
2 Eu 0.000 0.210 0.501
3 Sb 0.000 0.500 0.999

Main lines, in order of falling intensity (5° ≤ 2θ ≤ 70°):
d (Å)  Position (°2θ)  intensity
2.948  30.3  100
2.707  33.1  19
1.605  57.4  17
2.195  41.1  11
3.175  28.1  10
1.705  53.8  10
1.991  45.6  9
1.373  68.3  8
1.475  63.0  7
1.759  52.0  6

This entry pairs a crystal structure of EuSn3Sb4 with its calculated X-ray powder pattern. Radiation: Cu Kα, 1.54184 Å. Structure: a DFT-relaxed cell (PBE, Alexandria).
No peak broadening, texture or thermal motion is included.

Crystal structure
Unit cell a=10.025 b=4.443 c=22.853 alpha=90.00 beta=90.00 gamma=90.00
Space group Pnma (No. 62)
One atom of each set of equivalent atoms:
1 Eu 0.062 0.250 0.128
2 Sn 0.047 0.750 0.350
3 Sn 0.146 0.750 0.512
4 Sn 0.221 0.750 0.751
5 Sb 0.028 0.250 0.771
6 Sb 0.071 0.250 0.970
7 Sb 0.207 0.250 0.595
8 Sb 0.217 0.250 0.379

Main lines, in order of falling intensity (5° ≤ 2θ ≤ 70°):
d (Å)  Position (°2θ)  intensity
2.653  33.8  100
2.778  32.2  90
3.035  29.4  82
2.222  40.6  71
3.377  26.4  67
3.290  27.1  58
2.857  31.3  51
3.307  27.0  39
3.827  23.2  36
3.047  29.3  36

This entry pairs a crystal structure of EuTlSb4 with its calculated X-ray powder pattern. Radiation: Cu Kα, 1.54184 Å. Structure: a DFT-relaxed cell (PBE, Alexandria).
No peak broadening, texture or thermal motion is included.

Crystal structure
Unit cell a=9.063 b=9.063 c=9.063 alpha=90.00 beta=90.00 gamma=90.00
Space group F-43m (No. 216)
One atom of each set of equivalent atoms:
1 Eu 0.000 0.000 0.000
2 Tl 0.250 0.250 0.250
3 Sb 0.123 0.123 0.623

Main lines, in order of falling intensity (5° ≤ 2θ ≤ 70°):
d (Å)  Position (°2θ)  intensity
2.733  32.8  100
3.204  27.8  39
1.744  52.5  35
2.616  34.3  29
1.602  57.5  29
1.850  49.3  17
1.382  67.8  12
1.366  68.7  11
1.433  65.1  7
5.233  16.9  1

This entry pairs a crystal structure of Eu3Sc with its calculated X-ray powder pattern. Radiation: Cu Kα, 1.54184 Å. Structure: a DFT-relaxed cell (PBE, Alexandria).
No peak broadening, texture or thermal motion is included.

Crystal structure
Unit cell a=4.148 b=5.808 c=5.927 alpha=90.00 beta=90.00 gamma=90.00
Space group Pmmm (No. 47)
One atom of each set of equivalent atoms:
1 Eu 0.000 0.000 0.000
2 Eu 0.000 0.500 0.500
3 Eu 0.500 0.000 0.500
4 Sc 0.500 0.500 0.000

Main lines, in order of falling intensity (5° ≤ 2θ ≤ 70°):
d (Å)  Position (°2θ)  intensity
2.933  30.5  100
2.074  43.6  28
2.963  30.2  26
2.904  30.8  24
1.705  53.8  20
1.682  54.6  19
1.467  63.4  12
1.699  54.0  10
1.688  54.4  10
4.148  21.4  8

This entry pairs a crystal structure of EuSc2 with its calculated X-ray powder pattern. Radiation: Cu Kα, 1.54184 Å. Structure: a DFT-relaxed cell (PBE, Alexandria).
No peak broadening, texture or thermal motion is included.

Crystal structure
Unit cell a=3.489 b=3.489 c=14.191 alpha=90.00 beta=90.00 gamma=90.00
Space group I4/mmm (No. 139)
One atom of each set of equivalent atoms:
1 Eu 0.000 0.000 0.000
2 Sc 0.000 0.000 0.320

Main lines, in order of falling intensity (5° ≤ 2θ ≤ 70°):
d (Å)  Position (°2θ)  intensity
2.808  31.9  100
3.388  26.3  36
2.467  36.4  35
7.096  12.5  31
1.482  62.7  27
1.707  53.7  20
3.548  25.1  15
2.365  38.0  14
2.026  44.7  13
1.745  52.4  12